The following is a simulated X-ray powder pattern of K3PSe16. It was derived from the PBE geometry in Alexandria, using Cu Kα (λ = 1.5418 Å).

Structure:
Lattice parameters (Å, degrees): 16.8049 16.8049 16.8049 90.00 90.00 90.00
Space group Fd-3 (No. 203, origin choice 2)
Unique sites:
1 K 0.0000 0.0000 0.0000 (multiplicity 16)
2 K 0.1250 0.1250 0.6250 (multiplicity 8)
3 P 0.1250 0.1250 0.1250 (multiplicity 8)
4 Se 0.0080 0.3196 0.6360 (multiplicity 96)
5 Se 0.0482 0.0482 0.2018 (multiplicity 32)

Main lines, in order of rising 2θ (2θ from 15° to 90°):
| Position (°2θ) | I/Imax | hkl |
| --- | --- | --- |
| 17.5 | 617 | 3 1 1 |
| 26.0 | 427 | 4 2 2 |
| 27.6 | 1000 | 5 1 1 |
| 31.5 | 609 | 5 1 3 |
| 32.0 | 367 | 4 4 2 |
| 33.7 | 307 | 6 0 2 |
| 35.0 | 294 | 5 3 3 |
| 40.2 | 249 | 6 4 2 |
| 48.4 | 383 | 8 0 4 |
| 54.3 | 290 | 9 3 3 |